# 1
The following is a computed powder XRD pattern of Pa2Se3F. It was derived from a cell relaxed with GGA-PBE, using Cu Kα (λ = 1.5418 Å).
No peak broadening, texture or thermal motion is included.

Atomic structure:
```
Pa2Se3F
1.0
3.889 2.245 5.692
-3.889 2.245 5.692
0.000 -4.491 5.692
Pa Se F
4 6 2
Cartesian
0.000 0.000 2.293
0.000 0.000 6.244
0.000 0.000 10.831
0.000 0.000 14.782
-2.795 -0.350 7.115
-1.095 -2.595 9.961
1.700 -2.245 7.115
-1.700 2.245 9.961
1.095 2.595 7.115
2.795 0.350 9.961
0.000 0.000 0.000
0.000 0.000 8.538
```

Top 10 peaks for 2θ from 10° to 90°, most intense first:
2θ (°), d (Å), I (rel.)
22.9, 3.889, 100
24.7, 3.606, 85
40.2, 2.245, 73
41.3, 2.187, 71
33.9, 2.644, 67
27.8, 3.211, 34
44.5, 2.035, 30
39.2, 2.297, 30
64.1, 1.453, 25
66.5, 1.406, 21



# 2
The following is a computed powder XRD pattern of SrPa2F11. It was derived from a cell relaxed with GGA-PBE, using Cu Kα (λ = 1.5418 Å).
No peak broadening, texture or thermal motion is included.

Atomic structure:
```
SrPa2F11
1.0
-4.300 5.336 5.801
4.300 -5.336 5.801
4.300 5.336 -5.801
Sr Pa F
2 4 22
Cartesian
0.000 0.000 2.900
0.000 0.000 8.701
5.565 1.936 0.000
1.265 3.400 0.000
3.035 1.936 5.801
-1.265 3.400 5.801
4.300 0.000 0.000
5.116 -3.345 4.232
2.002 -0.803 1.514
5.116 3.345 -1.568
6.597 0.803 1.514
3.180 2.294 0.000
3.180 -2.294 5.801
2.298 4.532 -1.514
0.816 1.991 1.568
2.002 0.803 4.287
5.116 3.345 1.568
0.000 5.336 0.000
-0.816 1.991 4.232
2.298 4.532 1.514
3.483 3.345 4.232
2.002 0.803 7.314
1.120 7.630 0.000
1.120 3.042 5.801
-2.298 4.532 4.287
-0.816 1.991 7.369
2.298 6.139 4.287
-0.816 8.681 1.568
```

Top 10 peaks for 2θ from 10° to 90°, most intense first:
2θ (°), d (Å), I (rel.)
23.6, 3.771, 100
15.3, 5.801, 72
21.0, 4.223, 68
22.6, 3.927, 56
20.3, 4.384, 51
43.4, 2.083, 37
32.3, 2.775, 34
42.5, 2.128, 25
41.5, 2.175, 24
45.2, 2.004, 22



# 3
The following is a computed powder XRD pattern of Pa2TcF. It was derived from a cell relaxed with GGA-PBE, using Cu Kα (λ = 1.5418 Å).
No peak broadening, texture or thermal motion is included.

Atomic structure:
```
Pa2TcF
1.0
3.164 0.000 0.000
0.000 3.164 0.000
0.000 0.000 7.468
Pa Tc F
2 1 1
Cartesian
0.000 0.000 1.870
0.000 0.000 5.599
1.582 1.582 0.000
1.582 1.582 3.734
```

Top 10 peaks for 2θ from 10° to 90°, most intense first:
2θ (°), d (Å), I (rel.)
37.2, 2.414, 100
40.3, 2.237, 40
28.2, 3.164, 34
71.3, 1.323, 30
23.8, 3.734, 25
65.1, 1.434, 20
47.4, 1.919, 18
58.3, 1.582, 14
48.8, 1.867, 12
79.4, 1.207, 11



# 4
The following is a computed powder XRD pattern of Pa2Te3F4. It was derived from a cell relaxed with GGA-PBE, using Cu Kα (λ = 1.5418 Å).
No peak broadening, texture or thermal motion is included.

Atomic structure:
```
Pa2Te3F4
1.0
-2.208 4.235 6.219
2.208 -4.235 6.219
2.208 4.235 -6.219
Pa Te F
2 3 4
Cartesian
0.000 2.051 0.000
0.000 6.419 0.000
2.208 0.000 1.380
0.000 0.000 6.219
0.000 4.235 4.839
2.208 -1.729 4.199
0.000 2.506 2.020
2.208 1.729 4.199
0.000 5.964 2.020
```

Top 10 peaks for 2θ from 10° to 90°, most intense first:
2θ (°), d (Å), I (rel.)
30.1, 2.968, 100
14.2, 6.219, 77
36.9, 2.435, 14
40.9, 2.208, 14
36.5, 2.460, 14
35.8, 2.506, 13
41.7, 2.167, 11
29.6, 3.022, 11
42.7, 2.117, 11
43.5, 2.080, 10



Question: Number 3 is which compound?
Answer: Pa2TcF